Structure and simulated powder X-ray diffraction pattern of NdScSi (a cell relaxed with PBE; Cu Kα X-rays).
Kinematic intensities with the Lorentz-polarization factor, no thermal factor.

```
NdScSi
1.0
-2.144 2.144 7.939
2.144 -2.144 7.939
2.144 2.144 -7.939
Nd Sc Si
2 2 2
Direct
0.177 0.177 0.000
0.823 0.823 0.000
0.000 0.500 0.500
0.500 0.000 0.500
0.379 0.379 0.000
0.621 0.621 0.000
```

Peak list (6 most intense, 2θ from 10° to 90°, by intensity)
| 2theta | d (Å) | I (rel.) |
| --- | --- | --- |
| 26.76 | 3.332 | 100 |
| 31.58 | 2.833 | 76 |
| 35.17 | 2.552 | 56 |
| 42.14 | 2.144 | 46 |
| 29.46 | 3.032 | 43 |
| 50.63 | 1.803 | 35 |


Structure and simulated powder X-ray diffraction pattern of ZnNi2S4 (a cell relaxed with PBE; Cu Kα X-rays).
Kinematic intensities with the Lorentz-polarization factor, no thermal factor.

```
ZnNi2S4
1.0
6.851 0.000 0.000
3.374 5.963 0.000
3.347 2.028 5.686
Zn Ni S
2 4 8
Direct
0.000 0.000 0.000
0.500 0.000 0.500
0.000 0.000 0.500
0.000 0.500 0.000
0.000 0.500 0.500
0.500 0.500 0.500
0.218 0.249 0.288
0.218 0.756 0.748
0.232 0.736 0.295
0.233 0.292 0.740
0.767 0.708 0.260
0.768 0.264 0.705
0.782 0.244 0.252
0.782 0.751 0.712
```

Peak list (6 most intense, 2θ from 10° to 90°, by intensity)
| 2theta | d (Å) | I (rel.) |
| --- | --- | --- |
| 15.63 | 5.668 | 100 |
| 36.66 | 2.452 | 81 |
| 37.01 | 2.429 | 80 |
| 36.87 | 2.438 | 80 |
| 53.50 | 1.713 | 50 |
| 53.08 | 1.725 | 50 |


Structure and simulated powder X-ray diffraction pattern of Li7B18O (a cell relaxed with PBE; Cu Kα X-rays).
Kinematic intensities with the Lorentz-polarization factor, no thermal factor.

```
Li7B18O
1.0
8.171 0.000 0.000
0.000 4.123 0.000
-4.076 0.000 7.088
Li B O
7 18 1
Direct
0.000 0.000 0.000
0.021 0.500 0.246
0.081 0.000 0.500
0.294 0.000 0.344
0.337 0.000 0.913
0.689 0.000 0.573
0.746 0.000 0.127
0.008 0.203 0.736
0.008 0.797 0.736
0.131 0.500 0.688
0.131 0.500 0.910
0.335 0.500 0.686
0.336 0.500 0.116
0.458 0.500 0.564
0.461 0.500 0.360
0.507 0.199 0.736
0.507 0.801 0.736
0.510 0.202 0.237
0.510 0.798 0.237
0.557 0.500 0.908
0.558 0.500 0.114
0.680 0.500 0.788
0.683 0.500 0.358
0.885 0.500 0.786
0.887 0.500 0.564
0.023 0.000 0.241
```

Peak list (6 most intense, 2θ from 10° to 90°, by intensity)
| 2theta | d (Å) | I (rel.) |
| --- | --- | --- |
| 25.15 | 3.541 | 100 |
| 12.50 | 7.082 | 54 |
| 24.99 | 3.563 | 45 |
| 21.55 | 4.123 | 25 |
| 49.79 | 1.832 | 25 |
| 40.16 | 2.245 | 17 |